(1)
For SmNi2Sb2, a GGA-PBE-relaxed structure gives the simulated powder diffraction line list in this record (CuKα).

Largest 10 diffraction maxima, sorted by position, 2θ = 10–90°:
2θ = 29.11°, I = 37; 2θ = 32.56°, I = 100; 2θ = 33.71°, I = 47; 2θ = 41.64°, I = 56; 2θ = 45.05°, I = 15; 2θ = 47.50°, I = 19; 2θ = 53.84°, I = 48; 2θ = 60.16°, I = 18; 2θ = 60.36°, I = 18; 2θ = 64.98°, I = 15

Atomic structure:
```
5
Lattice="-2.1689 2.1689 5.3332 2.1689 -2.1689 5.3332 2.1689 2.1689 -5.3332" Properties=species:S:1:pos:R:3 pbc="T T T"
Sm 0.0000 0.0000 0.0000
Ni 2.1689 0.0000 2.6666
Ni 0.0000 2.1689 2.6666
Sb 0.0000 0.0000 3.8930
Sb 0.0000 0.0000 6.7733
```

=====

(2)
For Si2SN2, a GGA-PBE-relaxed structure gives the simulated powder diffraction line list in this record (CuKα).

Largest 10 diffraction maxima, sorted by position, 2θ = 10–90°:
2θ = 15.28°, I = 35; 2θ = 17.35°, I = 32; 2θ = 18.99°, I = 100; 2θ = 20.87°, I = 21; 2θ = 26.90°, I = 55; 2θ = 31.82°, I = 46; 2θ = 38.54°, I = 16; 2θ = 40.69°, I = 12; 2θ = 45.71°, I = 14; 2θ = 52.46°, I = 14

Atomic structure:
```
10
Lattice="5.6914 -3.5210 0.0000 5.6914 3.5210 0.0000 -2.3512 0.0000 4.8017" Properties=species:S:1:pos:R:3 pbc="T T T"
Si 1.4112 1.1376 2.5643
Si 5.6914 2.3889 0.0000
Si 1.4112 -1.1376 2.5643
Si 5.6914 -2.3889 0.0000
S -0.4274 0.0000 4.1803
S 5.3587 0.0000 1.9136
N 2.5062 1.7101 3.5842
N 6.1977 1.4307 1.4097
N 2.5062 -1.7101 3.5842
N 6.1977 -1.4307 1.4097
```

=====

(3)
For Ce3Cu, a GGA-PBE-relaxed structure gives the simulated powder diffraction line list in this record (CuKα).

Largest 10 diffraction maxima, sorted by position, 2θ = 10–90°:
2θ = 19.35°, I = 6; 2θ = 27.51°, I = 5; 2θ = 33.85°, I = 100; 2θ = 39.29°, I = 50; 2θ = 44.16°, I = 3; 2θ = 48.63°, I = 2; 2θ = 56.78°, I = 34; 2θ = 67.77°, I = 39; 2θ = 71.23°, I = 11; 2θ = 84.51°, I = 5

Atomic structure:
```
4
Lattice="4.5861 0.0000 0.0000 0.0000 4.5861 0.0000 0.0000 0.0000 4.5861" Properties=species:S:1:pos:R:3 pbc="T T T"
Ce 0.0000 0.0000 2.2930
Ce 0.0000 2.2930 0.0000
Ce 2.2930 0.0000 0.0000
Cu 2.2930 2.2930 2.2930
```

=====

(4)
For ZnCdTe2, a GGA-PBE-relaxed structure gives the simulated powder diffraction line list in this record (CuKα).

Largest 10 diffraction maxima, sorted by position, 2θ = 10–90°:
2θ = 24.06°, I = 100; 2θ = 39.64°, I = 25; 2θ = 39.88°, I = 51; 2θ = 46.91°, I = 31; 2θ = 47.33°, I = 16; 2θ = 57.30°, I = 8; 2θ = 63.39°, I = 12; 2θ = 72.09°, I = 15; 2θ = 72.57°, I = 8; 2θ = 77.09°, I = 6

Atomic structure:
```
8
Lattice="-3.2156 3.2156 6.3572 3.2156 -3.2156 6.3572 3.2156 3.2156 -6.3572" Properties=species:S:1:pos:R:3 pbc="T T T"
Zn 0.0000 0.0000 0.0000
Zn 0.0000 3.2156 3.1786
Cd 3.2156 0.0000 3.1786
Cd 0.0000 0.0000 6.3572
Te 1.6078 1.4572 -1.5893
Te 1.7584 -1.6078 7.9466
Te 1.6078 1.7584 4.7679
Te 1.4572 4.8234 1.5893
```

=====

(5)
For LaBN2, a GGA-PBE-relaxed structure gives the simulated powder diffraction line list in this record (CuKα).

Largest 10 diffraction maxima, sorted by position, 2θ = 10–90°:
2θ = 15.02°, I = 39; 2θ = 26.33°, I = 48; 2θ = 26.57°, I = 53; 2θ = 30.15°, I = 84; 2θ = 30.30°, I = 83; 2θ = 30.65°, I = 32; 2θ = 30.92°, I = 36; 2θ = 31.40°, I = 100; 2θ = 32.25°, I = 36; 2θ = 40.09°, I = 31

Atomic structure:
```
24
Lattice="6.6488 0.0000 0.0000 -3.0625 6.2382 0.0000 -0.0798 -2.4273 7.4344" Properties=species:S:1:pos:R:3 pbc="T T T"
La -0.6613 1.5716 0.5812
La -0.6629 0.4147 4.1795
La 2.3682 -0.9039 5.9354
La 1.1383 4.7149 1.4990
La 4.1695 3.3963 3.2548
La 4.1678 2.2394 6.8531
B 1.2826 -0.1593 2.0413
B 0.4071 2.4214 6.1541
B 0.3942 3.2591 3.8238
B 3.1123 0.5518 3.6105
B 3.0994 1.3895 1.2803
B 2.2239 3.9702 5.3931
N -0.0231 -1.7140 5.5858
N -0.1025 2.8579 2.5270
N -0.0054 1.2169 6.8502
N -0.4386 2.8439 4.9956
N 1.8782 -0.2258 3.3966
N 1.9441 0.5347 0.9029
N 1.5624 3.2762 6.5315
N 1.6284 4.0367 4.0377
N 3.9451 0.9670 2.4387
N 3.5119 2.5940 0.5842
N 3.6091 0.9530 4.9074
N 3.5296 5.5249 1.8485
```

=====

(6)
For Tb2MnGa6, a GGA-PBE-relaxed structure gives the simulated powder diffraction line list in this record (CuKα).

Largest 10 diffraction maxima, sorted by position, 2θ = 10–90°:
2θ = 28.77°, I = 36; 2θ = 35.43°, I = 100; 2θ = 41.14°, I = 66; 2θ = 45.02°, I = 12; 2θ = 50.97°, I = 10; 2θ = 59.58°, I = 38; 2θ = 67.49°, I = 11; 2θ = 71.27°, I = 30; 2θ = 74.96°, I = 11; 2θ = 82.18°, I = 10

Atomic structure:
```
9
Lattice="0.0000 4.3888 4.3888 4.3888 0.0000 4.3888 4.3888 4.3888 0.0000" Properties=species:S:1:pos:R:3 pbc="T T T"
Tb 2.1944 2.1944 2.1944
Tb 6.5831 6.5831 6.5831
Mn 0.0000 0.0000 0.0000
Ga 4.3888 4.3888 2.4695
Ga 4.3888 2.4695 4.3888
Ga 6.3081 4.3888 4.3888
Ga 2.4695 4.3888 4.3888
Ga 4.3888 6.3081 4.3888
Ga 4.3888 4.3888 6.3081
```

=====

(7)
For CaPt2, a GGA-PBE-relaxed structure gives the simulated powder diffraction line list in this record (CuKα).

Largest 10 diffraction maxima, sorted by position, 2θ = 10–90°:
2θ = 18.79°, I = 62; 2θ = 19.83°, I = 35; 2θ = 21.27°, I = 35; 2θ = 35.57°, I = 28; 2θ = 38.66°, I = 74; 2θ = 39.46°, I = 100; 2θ = 40.28°, I = 33; 2θ = 43.31°, I = 57; 2θ = 49.19°, I = 36; 2θ = 65.39°, I = 26

Atomic structure:
```
12
Lattice="5.4545 0.0000 0.0000 -2.7273 4.7238 0.0000 0.0000 0.0000 8.9561" Properties=species:S:1:pos:R:3 pbc="T T T"
Ca 0.0000 3.1492 0.5810
Ca 0.0000 3.1492 3.8971
Ca 2.7273 1.5746 5.0590
Ca 2.7273 1.5746 8.3751
Pt 0.0000 0.0000 0.0000
Pt 0.0000 0.0000 4.4780
Pt 0.0000 1.5982 6.7171
Pt -1.3432 3.9247 6.7171
Pt 1.3841 0.7991 2.2390
Pt 1.3432 3.9247 6.7171
Pt 4.0705 0.7991 2.2390
Pt 2.7273 3.1256 2.2390
```

=====

(8)
For Nb6Co16Ge7, a GGA-PBE-relaxed structure gives the simulated powder diffraction line list in this record (CuKα).

Largest 10 diffraction maxima, sorted by position, 2θ = 10–90°:
2θ = 34.34°, I = 9; 2θ = 38.75°, I = 22; 2θ = 41.21°, I = 65; 2θ = 45.05°, I = 100; 2θ = 47.24°, I = 13; 2θ = 47.95°, I = 12; 2θ = 62.69°, I = 10; 2θ = 70.15°, I = 14; 2θ = 83.14°, I = 12; 2θ = 84.73°, I = 15

Atomic structure:
```
29
Lattice="0.0000 5.6918 5.6918 5.6918 0.0000 5.6918 5.6918 5.6918 0.0000" Properties=species:S:1:pos:R:3 pbc="T T T"
Nb 5.6918 5.6918 2.2893
Nb 5.6918 2.2893 5.6918
Nb 9.0943 5.6918 5.6918
Nb 2.2893 5.6918 5.6918
Nb 5.6918 9.0943 5.6918
Nb 5.6918 5.6918 9.0943
Co 7.0470 4.3365 4.3365
Co 1.8877 1.8877 1.8877
Co 3.8040 3.8040 1.8877
Co 3.8040 1.8877 3.8040
Co 4.3365 4.3365 4.3365
Co 7.0470 7.0470 4.3365
Co 7.0470 4.3365 7.0470
Co 9.4958 7.5795 7.5795
Co 1.8877 3.8040 3.8040
Co 4.3365 7.0470 4.3365
Co 4.3365 4.3365 7.0470
Co 7.0470 7.0470 7.0470
Co 7.5795 9.4958 7.5795
Co 7.5795 7.5795 9.4958
Co 9.4958 9.4958 9.4958
Co 4.3365 7.0470 7.0470
Ge 2.8459 2.8459 0.0000
Ge 2.8459 0.0000 2.8459
Ge 5.6918 2.8459 2.8459
Ge 0.0000 2.8459 2.8459
Ge 2.8459 5.6918 2.8459
Ge 2.8459 2.8459 5.6918
Ge 5.6918 5.6918 5.6918
```

=====

(9)
For PuBr2, a GGA-PBE-relaxed structure gives the simulated powder diffraction line list in this record (CuKα).

Largest 10 diffraction maxima, sorted by position, 2θ = 10–90°:
2θ = 17.32°, I = 100; 2θ = 24.31°, I = 52; 2θ = 27.30°, I = 27; 2θ = 34.86°, I = 90; 2θ = 35.06°, I = 37; 2θ = 39.36°, I = 18; 2θ = 43.12°, I = 43; 2θ = 46.32°, I = 17; 2θ = 56.32°, I = 19; 2θ = 73.97°, I = 19

Atomic structure:
```
6
Lattice="7.2390 0.0000 0.0000 0.0000 7.2390 0.0000 0.0000 0.0000 4.2441" Properties=species:S:1:pos:R:3 pbc="T T T"
Pu 0.0000 0.0000 0.0000
Pu 3.6195 3.6195 2.1221
Br 1.4869 1.4869 2.1221
Br 2.1326 5.1064 0.0000
Br 5.1064 2.1326 0.0000
Br 5.7520 5.7520 2.1221
```